[1]
Structure and theoretical powder diffractogram of Pm5Pr5Ge6 (the GGA-PBE geometry in Alexandria; CuKα).
Peak positions follow from Bragg's law for the DFT cell and can differ from measured ones.

The 8 most intense peaks (10 to 80 degrees two-theta), most intense first:
- 33.7 deg, I = 100, (1 4 2)
- 33.4 deg, I = 89, (2 3 1)
- 35.1 deg, I = 43, (0 3 3)
- 30.9 deg, I = 38, (0 4 2)
- 28.9 deg, I = 32, (2 1 1)
- 51.4 deg, I = 30, (3 4 2)
- 49.2 deg, I = 24, (2 0 4)
- 55.1 deg, I = 21, (2 8 0)

Lattice parameters (Å, degrees): 6.7452 15.3474 8.8433 90.00 90.00 90.00
Space group Amm2 (No. 38)
Symmetry-distinct sites (fractional):
Pm: 0.0000 0.0000 0.0000 (multiplicity 2)
Pm: 0.0000 0.1228 0.3662 (multiplicity 4)
Pm: 0.5000 0.1225 0.1219 (multiplicity 4)
Pr: 0.2498 0.1667 0.7441 (multiplicity 8)
Pr: 0.5000 0.0000 0.4875 (multiplicity 2)
Ge: 0.0000 0.0000 0.6339 (multiplicity 2)
Ge: 0.0000 0.1952 0.0486 (multiplicity 4)
Ge: 0.5000 0.0000 0.8552 (multiplicity 2)
Ge: 0.5000 0.1968 0.4391 (multiplicity 4)

---

[2]
Structure and theoretical powder diffractogram of Pm2PrGe (the GGA-PBE geometry in Alexandria; CuKα).
Peak positions follow from Bragg's law for the DFT cell and can differ from measured ones.

The 8 most intense peaks (10 to 80 degrees two-theta), most intense first:
- 28.3 deg, I = 100, (2 4 0)
- 31.9 deg, I = 88, (2 4 1)
- 37.8 deg, I = 49, (2 2 2)
- 27.9 deg, I = 47, (2 2 1)
- 30.3 deg, I = 46, (0 2 2)
- 34.0 deg, I = 41, (0 4 2)
- 51.9 deg, I = 35, (2 8 2)
- 30.2 deg, I = 34, (0 6 1)

Lattice parameters (Å, degrees): 8.0653 20.2511 6.1671 90.00 90.00 90.00
Space group Cmce (No. 64)
Symmetry-distinct sites (fractional):
Pm: 0.0000 0.0538 0.2501 (multiplicity 8)
Pm: 0.2500 0.1055 0.7500 (multiplicity 8)
Pr: 0.0000 0.2502 0.0007 (multiplicity 8)
Ge: 0.2500 0.1603 0.2500 (multiplicity 8)

---

[3]
Structure and theoretical powder diffractogram of PmPrGeSe (the GGA-PBE geometry in Alexandria; CuKα).
Peak positions follow from Bragg's law for the DFT cell and can differ from measured ones.

The 8 most intense peaks (10 to 80 degrees two-theta), most intense first:
- 29.5 deg, I = 100, (1 0 4)
- 42.3 deg, I = 37, (1 1 0)
- 42.0 deg, I = 37, (0 1 8)
- 52.4 deg, I = 20, (0 2 4)
- 69.5 deg, I = 17, (2 1 4)
- 69.2 deg, I = 17, (1 1 12)
- 25.5 deg, I = 13, (0 1 2)
- 77.2 deg, I = 12, (1 2 8)

Lattice parameters (Å, degrees): 4.2746 4.2746 21.1126 90.00 90.00 120.00
Space group R3m (No. 160, hexagonal axes)
Symmetry-distinct sites (fractional):
Pm: 0.0000 0.0000 0.0000 (multiplicity 3)
Pr: 0.0000 0.0000 0.4940 (multiplicity 3)
Ge: 0.0000 0.0000 0.7458 (multiplicity 3)
Se: 0.0000 0.0000 0.2486 (multiplicity 3)

---

[4]
Structure and theoretical powder diffractogram of Pm3Ge2Pt4 (the GGA-PBE geometry in Alexandria; CuKα).
Peak positions follow from Bragg's law for the DFT cell and can differ from measured ones.

The 8 most intense peaks (10 to 80 degrees two-theta), most intense first:
- 33.7 deg, I = 100, (1 1 2)
- 39.9 deg, I = 90, (3 1 -3)
- 32.4 deg, I = 58, (3 1 -1)
- 40.7 deg, I = 57, (0 2 0)
- 34.0 deg, I = 46, (3 1 0)
- 33.9 deg, I = 30, (4 0 -1)
- 33.2 deg, I = 22, (0 0 3)
- 31.2 deg, I = 22, (2 0 -3)

Lattice parameters (Å, degrees): 10.6198 4.4330 8.7490 90.00 112.27 90.00
Space group C2/m (No. 12)
Symmetry-distinct sites (fractional):
Pm: 0.0000 0.0000 0.0000 (multiplicity 2)
Pm: 0.1372 0.5000 0.6913 (multiplicity 4)
Ge: 0.1598 0.5000 0.3263 (multiplicity 4)
Pt: 0.0951 0.0000 0.4146 (multiplicity 4)
Pt: 0.2189 0.5000 0.0734 (multiplicity 4)

---

[5]
Structure and theoretical powder diffractogram of Pm2Ge3Pt6 (the GGA-PBE geometry in Alexandria; CuKα).
Peak positions follow from Bragg's law for the DFT cell and can differ from measured ones.

The 8 most intense peaks (10 to 80 degrees two-theta), most intense first:
- 31.6 deg, I = 100, (1 1 1)
- 42.4 deg, I = 68, (2 1 1)
- 41.6 deg, I = 32, (0 0 2)
- 41.8 deg, I = 30, (3 0 0)
- 69.9 deg, I = 27, (4 1 1)
- 36.7 deg, I = 22, (2 1 0)
- 60.4 deg, I = 20, (3 0 2)
- 76.4 deg, I = 15, (2 1 3)

Lattice parameters (Å, degrees): 7.4852 7.4852 4.3441 90.00 90.00 120.00
Space group P-62m (No. 189)
Symmetry-distinct sites (fractional):
Pm: 0.3333 0.6667 0.0000 (multiplicity 2)
Ge: 0.0000 0.3702 0.5000 (multiplicity 3)
Pt: 0.0000 0.2118 0.0000 (multiplicity 3)
Pt: 0.0000 0.6937 0.5000 (multiplicity 3)

---

[6]
Structure and theoretical powder diffractogram of Pm2Ge2Pt3 (the GGA-PBE geometry in Alexandria; CuKα).
Peak positions follow from Bragg's law for the DFT cell and can differ from measured ones.

The 8 most intense peaks (10 to 80 degrees two-theta), most intense first:
- 33.4 deg, I = 100, (1 1 2)
- 34.0 deg, I = 79, (1 5 1)
- 44.1 deg, I = 36, (2 0 0)
- 46.7 deg, I = 30, (1 7 2)
- 41.9 deg, I = 24, (0 4 3)
- 36.8 deg, I = 24, (0 8 0)
- 46.0 deg, I = 22, (1 3 3)
- 30.1 deg, I = 21, (0 6 1)

Lattice parameters (Å, degrees): 4.1052 19.5627 7.1977 90.00 90.00 90.00
Space group Cmcm (No. 63)
Symmetry-distinct sites (fractional):
Pm: 0.0000 0.0544 0.2500 (multiplicity 4)
Pm: 0.0000 0.1539 0.7500 (multiplicity 4)
Ge: 0.0000 0.3109 0.5501 (multiplicity 8)
Pt: 0.0000 0.2190 0.2500 (multiplicity 4)
Pt: 0.0000 0.4358 0.0536 (multiplicity 8)

---

[7]
Structure and theoretical powder diffractogram of PmGe2Pt7 (the GGA-PBE geometry in Alexandria; CuKα).
Peak positions follow from Bragg's law for the DFT cell and can differ from measured ones.

The 8 most intense peaks (10 to 80 degrees two-theta), most intense first:
- 38.1 deg, I = 100, (2 4 0)
- 43.4 deg, I = 89, (1 5 1)
- 42.9 deg, I = 88, (3 1 1)
- 35.0 deg, I = 80, (0 4 1)
- 39.9 deg, I = 77, (0 0 2)
- 56.3 deg, I = 65, (2 4 2)
- 19.6 deg, I = 58, (0 0 1)
- 31.5 deg, I = 58, (2 0 1)

Lattice parameters (Å, degrees): 7.2873 12.4288 4.5212 90.00 90.00 90.00
Space group Cmmm (No. 65)
Symmetry-distinct sites (fractional):
Pm: 0.0000 0.0000 0.0000 (multiplicity 2)
Ge: 0.0000 0.3018 0.5000 (multiplicity 4)
Pt: 0.0000 0.2281 0.0000 (multiplicity 4)
Pt: 0.0000 0.5000 0.5000 (multiplicity 2)
Pt: 0.1879 0.1161 0.5000 (multiplicity 8)

---

[8]
Structure and theoretical powder diffractogram of PmGe2Pt2 (the GGA-PBE geometry in Alexandria; CuKα).
Peak positions follow from Bragg's law for the DFT cell and can differ from measured ones.

The 8 most intense peaks (10 to 80 degrees two-theta), most intense first:
- 34.0 deg, I = 100, (1 1 2)
- 41.2 deg, I = 78, (2 0 0)
- 33.7 deg, I = 63, (1 0 3)
- 46.6 deg, I = 35, (1 1 4)
- 54.2 deg, I = 33, (2 1 3)
- 30.2 deg, I = 31, (1 1 1)
- 50.0 deg, I = 28, (1 0 5)
- 59.7 deg, I = 26, (2 2 0)

Lattice parameters (Å, degrees): 4.3834 4.3834 10.0320 90.00 90.00 90.00
Space group P4/nmm (No. 129, origin choice 2)
Symmetry-distinct sites (fractional):
Pm: 0.2500 0.2500 0.2490 (multiplicity 2)
Ge: 0.2500 0.2500 0.6297 (multiplicity 2)
Ge: 0.2500 0.7500 0.0000 (multiplicity 2)
Pt: 0.2500 0.2500 0.8745 (multiplicity 2)
Pt: 0.2500 0.7500 0.5000 (multiplicity 2)

---

[9]
Structure and theoretical powder diffractogram of Pm2GePt3 (the GGA-PBE geometry in Alexandria; CuKα).
Peak positions follow from Bragg's law for the DFT cell and can differ from measured ones.

The 8 most intense peaks (10 to 80 degrees two-theta), most intense first:
- 33.0 deg, I = 100, (2 2 2)
- 40.7 deg, I = 44, (0 2 6)
- 64.2 deg, I = 22, (4 2 6)
- 40.8 deg, I = 21, (0 4 0)
- 23.2 deg, I = 18, (2 0 0)
- 53.4 deg, I = 16, (2 4 4)
- 47.4 deg, I = 15, (4 0 0)
- 64.3 deg, I = 11, (4 4 0)

Lattice parameters (Å, degrees): 7.6703 8.8424 15.3889 90.00 90.00 90.00
Space group Fmmm (No. 69)
Symmetry-distinct sites (fractional):
Pm: 0.2412 0.0000 0.0000 (multiplicity 8)
Pm: 0.2500 0.2500 0.2500 (multiplicity 8)
Ge: 0.0000 0.0000 0.3340 (multiplicity 8)
Pt: 0.0000 0.0000 0.1725 (multiplicity 8)
Pt: 0.0000 0.2407 0.4140 (multiplicity 16)

---

[10]
Structure and theoretical powder diffractogram of Pm3Ge3Pt8 (the GGA-PBE geometry in Alexandria; CuKα).
Peak positions follow from Bragg's law for the DFT cell and can differ from measured ones.

The 8 most intense peaks (10 to 80 degrees two-theta), most intense first:
- 34.8 deg, I = 100, (1 1 2)
- 38.9 deg, I = 41, (5 1 -3)
- 40.7 deg, I = 38, (0 2 0)
- 52.0 deg, I = 15, (4 0 -5)
- 31.0 deg, I = 15, (4 0 -3)
- 45.5 deg, I = 14, (1 1 3)
- 46.2 deg, I = 14, (3 1 -4)
- 36.5 deg, I = 12, (3 1 -3)

Lattice parameters (Å, degrees): 16.1790 4.4348 8.8754 90.00 123.05 90.00
Space group C2/m (No. 12)
Symmetry-distinct sites (fractional):
Pm: 0.0000 0.0000 0.0000 (multiplicity 2)
Pm: 0.2070 0.5000 0.6757 (multiplicity 4)
Ge: 0.0000 0.0000 0.5000 (multiplicity 2)
Ge: 0.1719 0.5000 0.0064 (multiplicity 4)
Pt: 0.0043 0.5000 0.6861 (multiplicity 4)
Pt: 0.1183 0.0000 0.3992 (multiplicity 4)
Pt: 0.1363 0.0000 0.8439 (multiplicity 4)
Pt: 0.1510 0.5000 0.2584 (multiplicity 4)

---

[11]
Structure and theoretical powder diffractogram of Pm3Ge5Pt6 (the GGA-PBE geometry in Alexandria; CuKα).
Peak positions follow from Bragg's law for the DFT cell and can differ from measured ones.

The 8 most intense peaks (10 to 80 degrees two-theta), most intense first:
- 34.9 deg, I = 100, (1 3 2)
- 43.1 deg, I = 35, (2 0 0)
- 34.8 deg, I = 25, (1 0 3)
- 41.7 deg, I = 25, (0 6 0)
- 34.3 deg, I = 25, (0 3 3)
- 18.1 deg, I = 21, (0 0 2)
- 47.8 deg, I = 18, (1 3 4)
- 73.7 deg, I = 18, (3 3 2)

Lattice parameters (Å, degrees): 4.2004 13.0024 9.8146 90.00 90.00 90.00
Space group Pmmn (No. 59, origin choice 2)
Symmetry-distinct sites (fractional):
Pm: 0.2500 0.0816 0.2458 (multiplicity 4)
Pm: 0.2500 0.7500 0.2572 (multiplicity 2)
Ge: 0.2500 0.0824 0.8516 (multiplicity 4)
Ge: 0.2500 0.6335 0.5370 (multiplicity 4)
Ge: 0.2500 0.7500 0.8447 (multiplicity 2)
Pt: 0.2500 0.0559 0.5988 (multiplicity 4)
Pt: 0.2500 0.2500 0.4876 (multiplicity 2)
Pt: 0.2500 0.2500 0.9974 (multiplicity 2)
Pt: 0.2500 0.5837 0.0073 (multiplicity 4)

---

[12]
Structure and theoretical powder diffractogram of PmGePtRh (the GGA-PBE geometry in Alexandria; CuKα).
Peak positions follow from Bragg's law for the DFT cell and can differ from measured ones.

The 8 most intense peaks (10 to 80 degrees two-theta), most intense first:
- 31.0 deg, I = 100, (1 1 0)
- 33.9 deg, I = 89, (0 1 3)
- 34.3 deg, I = 76, (1 0 3)
- 35.7 deg, I = 53, (1 1 2)
- 57.6 deg, I = 39, (2 1 3)
- 43.8 deg, I = 39, (0 2 0)
- 56.7 deg, I = 36, (1 2 3)
- 45.1 deg, I = 36, (2 0 0)

Lattice parameters (Å, degrees): 4.0221 4.1379 10.3336 90.00 90.00 90.00
Space group Imm2 (No. 44)
Symmetry-distinct sites (fractional):
Pm: 0.0000 0.0000 0.0000 (multiplicity 2)
Ge: 0.0000 0.5000 0.2483 (multiplicity 2)
Pt: 0.0000 0.0000 0.3711 (multiplicity 2)
Rh: 0.0000 0.0000 0.6258 (multiplicity 2)